The following is a computed X-ray diffraction stick pattern of U4Fe7Si6. It was derived from DFT lattice parameters and positions (GGA-PBE), using λ = 1.5418 Å (Cu Kα).

The 8 most intense peaks (10° ≤ 2θ ≤ 90°), in order of rising 2θ:
- 2θ 22.5, I = 69
- 2θ 32.0, I = 100
- 2θ 39.4, I = 93
- 2θ 45.9, I = 53
- 2θ 51.7, I = 41
- 2θ 57.0, I = 35
- 2θ 66.9, I = 31
- 2θ 80.5, I = 32

Cell and atoms:
```
U4Fe7Si6
1.0
-3.9570 3.9570 3.9570
3.9570 -3.9570 3.9570
3.9570 3.9570 -3.9570
U Fe Si
4 7 6
Direct
0.0000 0.0000 0.5000 U
0.0000 0.5000 0.0000 U
0.5000 0.0000 0.0000 U
0.5000 0.5000 0.5000 U
0.0000 0.0000 0.0000 Fe
0.2500 0.5000 0.7500 Fe
0.2500 0.7500 0.5000 Fe
0.5000 0.2500 0.7500 Fe
0.5000 0.7500 0.2500 Fe
0.7500 0.2500 0.5000 Fe
0.7500 0.5000 0.2500 Fe
0.0000 0.3232 0.3232 Si
0.0000 0.6768 0.6768 Si
0.3232 0.0000 0.3232 Si
0.3232 0.3232 0.0000 Si
0.6768 0.0000 0.6768 Si
0.6768 0.6768 0.0000 Si
```



The following is a computed X-ray diffraction stick pattern of Na2Pu3O10. It was derived from DFT lattice parameters and positions (GGA-PBE), using λ = 1.5418 Å (Cu Kα).

The 8 most intense peaks (10° ≤ 2θ ≤ 90°), in order of rising 2θ:
- 2θ 11.5, I = 51
- 2θ 14.1, I = 99
- 2θ 18.6, I = 46
- 2θ 23.2, I = 100
- 2θ 26.6, I = 66
- 2θ 27.5, I = 54
- 2θ 29.2, I = 48
- 2θ 32.4, I = 48

Cell and atoms:
```
Na2Pu3O10
1.0
9.7201 -3.3440 0.0000
9.7201 3.3440 0.0000
-3.3725 0.0000 7.6673
Na Pu O
4 6 20
Direct
0.1166 0.1166 0.1418 Na
0.1609 0.1609 0.7963 Na
0.8391 0.8391 0.2037 Na
0.8834 0.8834 0.8582 Na
0.2479 0.7521 0.5000 Pu
0.3121 0.3121 0.4784 Pu
0.4191 0.4191 0.0242 Pu
0.5809 0.5809 0.9758 Pu
0.6879 0.6879 0.5216 Pu
0.7521 0.2479 0.5000 Pu
0.0000 0.5000 0.5000 O
0.0187 0.0187 0.6681 O
0.1343 0.5883 0.0273 O
0.1443 0.6433 0.4520 O
0.2590 0.2590 0.2420 O
0.3057 0.6943 0.0000 O
0.3567 0.8557 0.5480 O
0.3658 0.3658 0.7226 O
0.4117 0.8657 0.9727 O
0.4814 0.4814 0.3215 O
0.5000 0.0000 0.5000 O
0.5186 0.5186 0.6785 O
0.5883 0.1343 0.0273 O
0.6342 0.6342 0.2774 O
0.6433 0.1443 0.4520 O
0.6943 0.3057 0.0000 O
0.7410 0.7410 0.7580 O
0.8557 0.3567 0.5480 O
0.8657 0.4117 0.9727 O
0.9813 0.9813 0.3319 O
```



The following is a computed X-ray diffraction stick pattern of KSrHfMn2. It was derived from DFT lattice parameters and positions (GGA-PBE), using λ = 1.5418 Å (Cu Kα).

The 8 most intense peaks (10° ≤ 2θ ≤ 90°), in order of rising 2θ:
- 2θ 25.6, I = 100
- 2θ 26.3, I = 35
- 2θ 31.8, I = 68
- 2θ 35.3, I = 38
- 2θ 37.6, I = 64
- 2θ 46.0, I = 43
- 2θ 52.5, I = 47
- 2θ 66.4, I = 23

Cell and atoms:
```
KSrHfMn2
1.0
4.7870 0.0000 0.0000
0.0000 4.7870 0.0000
0.0000 0.0000 5.0846
K Sr Hf Mn
1 1 1 2
Direct
0.0000 0.0000 0.0000 K
0.0000 0.0000 0.5000 Sr
0.5000 0.5000 0.0000 Hf
0.0000 0.5000 0.5000 Mn
0.5000 0.0000 0.5000 Mn
```



The following is a computed X-ray diffraction stick pattern of Ac2ErPb3. It was derived from DFT lattice parameters and positions (GGA-PBE), using λ = 1.5418 Å (Cu Kα).

The 8 most intense peaks (10° ≤ 2θ ≤ 90°), in order of rising 2θ:
- 2θ 30.3, I = 53
- 2θ 30.6, I = 51
- 2θ 30.8, I = 100
- 2θ 33.3, I = 80
- 2θ 39.7, I = 26
- 2θ 52.5, I = 21
- 2θ 52.9, I = 21
- 2θ 66.6, I = 17

Cell and atoms:
```
Ac2ErPb3
1.0
5.9830 0.0000 0.0000
0.0000 7.5354 0.0000
-1.5331 0.0000 8.7712
Ac Er Pb
4 2 6
Direct
0.0000 0.0000 0.0000 Ac
0.0000 0.5000 0.0000 Ac
0.3575 0.0000 0.6777 Ac
0.6425 0.0000 0.3223 Ac
0.3626 0.5000 0.6705 Er
0.6374 0.5000 0.3295 Er
0.1480 0.2726 0.3527 Pb
0.1480 0.7274 0.3527 Pb
0.5000 0.2686 0.0000 Pb
0.5000 0.7314 0.0000 Pb
0.8520 0.2726 0.6473 Pb
0.8520 0.7274 0.6473 Pb
```



The following is a computed X-ray diffraction stick pattern of Ca3AcPd8. It was derived from DFT lattice parameters and positions (GGA-PBE), using λ = 1.5418 Å (Cu Kα).

The 8 most intense peaks (10° ≤ 2θ ≤ 90°), in order of rising 2θ:
- 2θ 18.5, I = 29
- 2θ 21.0, I = 31
- 2θ 35.1, I = 63
- 2θ 38.1, I = 97
- 2θ 38.9, I = 100
- 2θ 42.7, I = 33
- 2θ 64.5, I = 30
- 2θ 67.7, I = 28

Cell and atoms:
```
Ca3AcPd8
1.0
5.5338 0.0000 0.0000
-2.7669 4.7924 0.0000
0.0000 0.0000 9.0536
Ca Ac Pd
3 1 8
Direct
0.0000 0.0000 0.0000 Ca
0.0000 0.0000 0.3614 Ca
0.3333 0.6667 0.8902 Ca
0.3333 0.6667 0.5114 Ac
0.0033 0.5017 0.1902 Pd
0.3294 0.1647 0.6934 Pd
0.4983 0.5017 0.1902 Pd
0.4983 0.9967 0.1902 Pd
0.6667 0.3333 0.4400 Pd
0.6667 0.3333 0.9421 Pd
0.8353 0.1647 0.6934 Pd
0.8353 0.6706 0.6934 Pd
```



The following is a computed X-ray diffraction stick pattern of CsK2Sn2I7. It was derived from DFT lattice parameters and positions (GGA-PBE), using λ = 1.5418 Å (Cu Kα).

The 8 most intense peaks (10° ≤ 2θ ≤ 90°), in order of rising 2θ:
- 2θ 14.4, I = 25
- 2θ 15.9, I = 26
- 2θ 22.9, I = 93
- 2θ 25.6, I = 100
- 2θ 28.2, I = 73
- 2θ 32.1, I = 28
- 2θ 38.5, I = 67
- 2θ 43.3, I = 26

Cell and atoms:
```
CsK2Sn2I7
1.0
-3.1609 13.9410 3.4808
3.1609 -13.9410 3.4808
3.1609 13.9410 -3.4808
Cs K Sn I
1 2 2 7
Direct
0.0000 0.0000 0.0000 Cs
0.1771 0.4541 0.7230 K
0.7311 0.4541 0.2770 K
0.3338 0.9437 0.3901 Sn
0.5537 0.9437 0.6099 Sn
0.2290 0.9557 0.2733 I
0.2681 0.3830 0.8851 I
0.3585 0.8585 0.5000 I
0.4979 0.3830 0.1149 I
0.6824 0.9557 0.7267 I
0.7683 0.3659 0.4024 I
0.9635 0.3659 0.5976 I
```



The following is a computed X-ray diffraction stick pattern of Na2MnSbS4. It was derived from DFT lattice parameters and positions (GGA-PBE), using λ = 1.5418 Å (Cu Kα).

The 8 most intense peaks (10° ≤ 2θ ≤ 90°), in order of rising 2θ:
- 2θ 13.8, I = 23
- 2θ 14.1, I = 60
- 2θ 26.7, I = 24
- 2θ 32.5, I = 100
- 2θ 32.7, I = 47
- 2θ 46.0, I = 16
- 2θ 46.8, I = 63
- 2θ 47.3, I = 17

Cell and atoms:
```
Na2MnSbS4
1.0
-3.8428 3.9446 5.4817
3.8428 -3.9446 5.4817
3.8428 3.9446 -5.4817
Na Mn Sb S
4 2 2 8
Direct
0.0000 0.0000 0.0000 Na
0.5000 0.0000 0.0000 Na
0.5000 0.0000 0.5000 Na
0.5000 0.5000 0.5000 Na
0.0000 0.0000 0.5000 Mn
0.0000 0.5000 0.0000 Mn
0.0000 0.5000 0.5000 Sb
0.5000 0.5000 0.0000 Sb
0.2130 0.7466 0.4664 S
0.2198 0.2534 0.9664 S
0.2245 0.2294 0.5048 S
0.2245 0.7197 0.9952 S
0.7755 0.2803 0.0048 S
0.7755 0.7706 0.4952 S
0.7802 0.7466 0.0336 S
0.7870 0.2534 0.5336 S
```



The following is a computed X-ray diffraction stick pattern of La3In2Hg4. It was derived from DFT lattice parameters and positions (GGA-PBE), using λ = 1.5418 Å (Cu Kα).

The 8 most intense peaks (10° ≤ 2θ ≤ 90°), in order of rising 2θ:
- 2θ 23.7, I = 17
- 2θ 31.4, I = 100
- 2θ 31.4, I = 51
- 2θ 35.4, I = 99
- 2θ 35.6, I = 49
- 2θ 48.2, I = 32
- 2θ 61.4, I = 25
- 2θ 63.9, I = 19

Cell and atoms:
```
La3In2Hg4
1.0
5.7774 -2.5186 0.0000
5.7774 2.5186 0.0000
-4.2499 0.0000 8.5689
La In Hg
3 2 4
Direct
0.0000 0.0000 0.0000 La
0.3355 0.3355 0.3285 La
0.6645 0.6645 0.6715 La
0.3879 0.3879 0.7220 In
0.6121 0.6121 0.2780 In
0.0842 0.0842 0.4185 Hg
0.3050 0.3050 0.9727 Hg
0.6950 0.6950 0.0273 Hg
0.9158 0.9158 0.5815 Hg
```



The following is a computed X-ray diffraction stick pattern of LaTb2PmTm4. It was derived from DFT lattice parameters and positions (GGA-PBE), using λ = 1.5418 Å (Cu Kα).

The 8 most intense peaks (10° ≤ 2θ ≤ 90°), in order of rising 2θ:
- 2θ 30.8, I = 100
- 2θ 35.5, I = 34
- 2θ 36.1, I = 16
- 2θ 51.5, I = 24
- 2θ 60.8, I = 22
- 2θ 61.7, I = 14
- 2θ 64.1, I = 12
- 2θ 84.0, I = 9

Cell and atoms:
```
LaTb2PmTm4
1.0
7.1539 0.0000 0.0000
0.0000 9.9437 0.0000
-0.0095 0.0000 7.1673
La Tb Pm Tm
2 4 2 8
Direct
0.0000 0.0000 0.0000 La
0.5000 0.0000 0.0000 La
0.0000 0.0000 0.5000 Tb
0.0000 0.5000 0.0000 Tb
0.0000 0.5000 0.5000 Tb
0.5000 0.5000 0.5000 Tb
0.5000 0.0000 0.5000 Pm
0.5000 0.5000 0.0000 Pm
0.2488 0.2533 0.2529 Tm
0.2487 0.2533 0.7472 Tm
0.2488 0.7467 0.2529 Tm
0.2487 0.7467 0.7472 Tm
0.7513 0.2533 0.2528 Tm
0.7512 0.2533 0.7471 Tm
0.7513 0.7467 0.2528 Tm
0.7512 0.7467 0.7471 Tm
```



The following is a computed X-ray diffraction stick pattern of SrTaSe4. It was derived from DFT lattice parameters and positions (GGA-PBE), using λ = 1.5418 Å (Cu Kα).

The 8 most intense peaks (10° ≤ 2θ ≤ 90°), in order of rising 2θ:
- 2θ 30.5, I = 44
- 2θ 35.9, I = 100
- 2θ 37.5, I = 26
- 2θ 54.1, I = 18
- 2θ 57.7, I = 33
- 2θ 63.4, I = 26
- 2θ 75.1, I = 12
- 2θ 76.1, I = 10

Cell and atoms:
```
SrTaSe4
1.0
0.0000 4.1490 4.1490
4.1490 0.0000 4.1490
4.1490 4.1490 0.0000
Sr Ta Se
1 1 4
Direct
0.0000 0.0000 0.0000 Sr
0.7500 0.7500 0.7500 Ta
0.3763 0.3763 0.3763 Se
0.3763 0.3763 0.8711 Se
0.3763 0.8711 0.3763 Se
0.8711 0.3763 0.3763 Se
```



Please write out number 3 again, unchanged.
The following is a computed X-ray diffraction stick pattern of KSrHfMn2. It was derived from DFT lattice parameters and positions (GGA-PBE), using λ = 1.5418 Å (Cu Kα).

The 8 most intense peaks (10° ≤ 2θ ≤ 90°), in order of rising 2θ:
- 2θ 25.6, I = 100
- 2θ 26.3, I = 35
- 2θ 31.8, I = 68
- 2θ 35.3, I = 38
- 2θ 37.6, I = 64
- 2θ 46.0, I = 43
- 2θ 52.5, I = 47
- 2θ 66.4, I = 23

Cell and atoms:
```
KSrHfMn2
1.0
4.7870 0.0000 0.0000
0.0000 4.7870 0.0000
0.0000 0.0000 5.0846
K Sr Hf Mn
1 1 1 2
Direct
0.0000 0.0000 0.0000 K
0.0000 0.0000 0.5000 Sr
0.5000 0.5000 0.0000 Hf
0.0000 0.5000 0.5000 Mn
0.5000 0.0000 0.5000 Mn
```